Simulated X-ray diffraction stick pattern of ZnW for Cu Kα, from DFT lattice parameters and positions (GGA-PBE).
Neutral-atom scattering factors, no anomalous dispersion.

Cell and atoms:
```
ZnW
1.0
3.1937 0.0000 0.0000
0.0000 4.3766 0.0000
0.0000 0.0000 8.8494
Zn W
4 4
Cartesian
0.0000 1.0941 1.0758 Zn
0.0000 3.2824 7.7736 Zn
1.5969 1.0941 7.7736 Zn
1.5969 3.2824 1.0758 Zn
0.0000 1.0941 5.5514 W
0.0000 3.2824 3.2980 W
1.5969 1.0941 3.2980 W
1.5969 3.2824 5.5514 W
```

Main lines, in order of rising 2θ (5 to 70 degrees two-theta):
Position (°2θ)	I (rel.)
10.00	58
36.27	14
40.47	100
40.79	24
41.26	24
59.41	16

***

Simulated X-ray diffraction stick pattern of CdGaHgF6 for Cu Kα, from DFT lattice parameters and positions (GGA-PBE).
Neutral-atom scattering factors, no anomalous dispersion.

Cell and atoms:
```
CdGaHgF6
1.0
5.8137 0.0000 0.0000
-2.9069 5.0349 0.0000
0.0000 0.0000 9.2046
Cd Ga Hg F
2 2 2 12
Cartesian
0.0000 0.0000 0.0000 Cd
0.0000 0.0000 4.6023 Cd
0.0000 3.3566 2.3012 Ga
2.9069 1.6783 6.9035 Ga
0.0000 3.3566 6.9035 Hg
2.9069 1.6783 2.3012 Hg
-0.6245 1.8992 1.1684 F
-1.5744 3.5444 3.4339 F
0.6245 1.8992 3.4339 F
-0.9499 4.6261 1.1684 F
1.9570 0.4087 5.7707 F
1.3325 1.4904 8.0362 F
1.5744 3.5444 1.1684 F
0.9499 4.6261 3.4339 F
3.8568 0.4087 8.0362 F
2.2824 3.1357 5.7707 F
4.4813 1.4904 5.7707 F
3.5314 3.1357 8.0362 F
```

Main lines, in order of rising 2θ (5 to 70 degrees two-theta):
Position (°2θ)	I (rel.)
26.23	100
30.76	60
36.56	21
40.86	31
50.59	49
52.00	30

***

Simulated X-ray diffraction stick pattern of LiPm2Al3Zn4 for Cu Kα, from DFT lattice parameters and positions (GGA-PBE).
Neutral-atom scattering factors, no anomalous dispersion.

Cell and atoms:
```
LiPm2Al3Zn4
1.0
4.3311 0.0000 0.0000
0.0000 4.3311 0.0000
0.0000 0.0000 10.3816
Li Pm Al Zn
1 2 3 4
Cartesian
0.0000 0.0000 0.0000 Li
0.0000 2.1656 7.7245 Pm
2.1656 0.0000 2.6572 Pm
0.0000 2.1656 3.7840 Al
2.1656 0.0000 6.5976 Al
2.1656 2.1656 0.0000 Al
0.0000 0.0000 5.1908 Zn
0.0000 2.1656 1.3212 Zn
2.1656 0.0000 9.0604 Zn
2.1656 2.1656 5.1908 Zn
```

Main lines, in order of rising 2θ (5 to 70 degrees two-theta):
Position (°2θ)	I (rel.)
29.16	32
33.14	82
33.99	100
41.71	54
48.63	31
54.27	40

***

Simulated X-ray diffraction stick pattern of Nd2Y2Er for Cu Kα, from DFT lattice parameters and positions (GGA-PBE).
Neutral-atom scattering factors, no anomalous dispersion.

Cell and atoms:
```
Nd2Y2Er
1.0
-1.8343 2.8802 15.8652
1.8343 -2.8802 15.8652
1.8343 2.8802 -15.8652
Nd Y Er
4 4 2
Cartesian
0.0000 1.4401 0.6892 Nd
0.0000 1.4401 3.8285 Nd
1.8343 1.4401 12.0367 Nd
1.8343 1.4401 15.1760 Nd
1.8343 -1.4401 9.6734 Y
1.8343 1.4401 6.6137 Y
0.0000 1.4401 9.2515 Y
0.0000 4.3203 6.1919 Y
1.8343 1.4401 -2.5643 Er
0.0000 1.4401 18.4296 Er
```

Main lines, in order of rising 2θ (5 to 70 degrees two-theta):
Position (°2θ)	I (rel.)
5.57	27
29.41	21
29.71	34
31.03	100
31.37	21
34.78	21

***

Simulated X-ray diffraction stick pattern of Dy5Er4 for Cu Kα, from DFT lattice parameters and positions (GGA-PBE).
Neutral-atom scattering factors, no anomalous dispersion.

Cell and atoms:
```
Dy5Er4
1.0
-1.7892 6.0102 6.4588
1.7892 -6.0102 6.4588
1.7892 6.0102 -6.4588
Dy Er
5 4
Cartesian
0.0000 0.0000 0.0000 Dy
0.0000 3.5130 0.0000 Dy
0.0000 0.0000 4.8289 Dy
0.0000 0.0000 8.0888 Dy
0.0000 8.5075 0.0000 Dy
1.7892 -1.7333 2.4582 Er
1.7892 1.7333 2.4582 Er
0.0000 4.2769 4.0006 Er
0.0000 7.7436 4.0006 Er
```

Main lines, in order of rising 2θ (5 to 70 degrees two-theta):
Position (°2θ)	I (rel.)
30.47	94
32.54	100
32.87	31
33.58	92
53.31	35
60.62	27